CeUPt8Au2: computed PXRD pattern (Cu Kα (weighted mean of Kα1 and Kα2)), based on DFT lattice parameters and positions (GGA-PBE).
No peak broadening, texture or thermal motion is included.

The 10 most intense peaks (2θ from 10° to 90°), in order of rising 2θ:
| 2θ (°) | I_rel | (hkl) |
| --- | --- | --- |
| 20.32 | 6 | 0 1 2 |
| 33.49 | 27 | 1 1 0 |
| 39.49 | 100 | 2 0 2 |
| 41.33 | 40 | 0 2 4 |
| 48.09 | 5 | 2 0 8 |
| 59.87 | 10 | 3 0 0 |
| 63.92 | 33 | 3 0 6 |
| 70.37 | 29 | 2 2 0 |
| 83.80 | 9 | 1 3 10 |
| 85.01 | 16 | 4 0 4 |

Structural model:
a b c (Å): 5.3536 5.3536 26.1962
angles (deg): 90.00 90.00 120.00
Space group R3m (No. 160, hexagonal axes)
Inequivalent atoms, fractional coordinates:
1 Ce 0.0000 0.0000 0.0000 [3 per cell]
2 U 0.0000 0.0000 0.5002 [3 per cell]
3 Pt 0.0000 0.0000 0.1878 [3 per cell]
4 Pt 0.0000 0.0000 0.6877 [3 per cell]
5 Pt 0.9998 0.4999 0.9368 [9 per cell]
6 Pt 0.0023 0.5012 0.4382 [9 per cell]
7 Au 0.0000 0.0000 0.3753 [3 per cell]
8 Au 0.0000 0.0000 0.8749 [3 per cell]